Record 1
Calculated PXRD pattern of CaPr8Ho3 for a wavelength of 1.5418 Å, from the GGA-PBE geometry in Alexandria.

Largest 12 diffraction maxima, in order of rising 2θ, 2θ from 10° to 90°:
- 29.64 deg, d = 3.014 Å, I 34
- 29.76 deg, d = 3.002 Å, I 100
- 34.37 deg, d = 2.609 Å, I 46
- 34.65 deg, d = 2.589 Å, I 23
- 49.29 deg, d = 1.849 Å, I 8
- 49.53 deg, d = 1.840 Å, I 24
- 49.68 deg, d = 1.835 Å, I 16
- 58.59 deg, d = 1.576 Å, I 10
- 58.73 deg, d = 1.572 Å, I 14
- 58.82 deg, d = 1.570 Å, I 14
- 59.14 deg, d = 1.562 Å, I 9
- 61.82 deg, d = 1.501 Å, I 12

Structural model:
```
CaPr8Ho3
1.0
3.682 0.000 0.000
-1.833 9.591 0.000
-0.010 -4.362 11.978
Ca Pr Ho
1 8 3
Direct
0.000 0.000 0.000
0.004 0.008 0.509
0.168 0.337 0.422
0.171 0.341 0.917
0.329 0.659 0.835
0.336 0.672 0.337
0.499 0.000 0.258
0.672 0.343 0.173
0.839 0.676 0.594
0.504 0.007 0.750
0.668 0.337 0.672
0.832 0.664 0.087
```



Record 2
Calculated PXRD pattern of Ca2Pr6Ho3 for a wavelength of 1.5418 Å, from the GGA-PBE geometry in Alexandria.

Largest 12 diffraction maxima, in order of rising 2θ, 2θ from 10° to 90°:
- 28.66 deg, d = 3.115 Å, I 15
- 30.51 deg, d = 2.930 Å, I 90
- 30.63 deg, d = 2.919 Å, I 100
- 43.78 deg, d = 2.068 Å, I 34
- 54.16 deg, d = 1.694 Å, I 13
- 54.40 deg, d = 1.687 Å, I 55
- 58.31 deg, d = 1.582 Å, I 12
- 63.51 deg, d = 1.465 Å, I 8
- 63.77 deg, d = 1.459 Å, I 12
- 72.15 deg, d = 1.309 Å, I 11
- 72.34 deg, d = 1.306 Å, I 15
- 88.63 deg, d = 1.103 Å, I 19

Structural model:
```
Ca2Pr6Ho3
1.0
2.919 1.685 13.181
-2.919 1.685 13.181
0.000 -3.370 13.181
Ca Pr Ho
2 6 3
Direct
0.043 0.043 0.043
0.957 0.957 0.957
0.131 0.131 0.131
0.313 0.313 0.313
0.410 0.410 0.410
0.590 0.590 0.590
0.687 0.687 0.687
0.869 0.869 0.869
0.220 0.220 0.220
0.500 0.500 0.500
0.780 0.780 0.780
```



Record 3
Calculated PXRD pattern of Ca2Pr4Ho5 for a wavelength of 1.5418 Å, from the GGA-PBE geometry in Alexandria.

Largest 12 diffraction maxima, in order of rising 2θ, 2θ from 10° to 90°:
- 29.47 deg, d = 3.031 Å, I 47
- 30.17 deg, d = 2.962 Å, I 100
- 31.04 deg, d = 2.881 Å, I 57
- 31.95 deg, d = 2.801 Å, I 44
- 32.90 deg, d = 2.722 Å, I 47
- 39.78 deg, d = 2.266 Å, I 22
- 45.43 deg, d = 1.997 Å, I 11
- 47.60 deg, d = 1.910 Å, I 17
- 51.63 deg, d = 1.770 Å, I 12
- 55.83 deg, d = 1.647 Å, I 14
- 60.98 deg, d = 1.519 Å, I 27
- 62.01 deg, d = 1.497 Å, I 14

Structural model:
```
Ca2Pr4Ho5
1.0
9.162 0.000 0.000
0.000 3.540 0.000
-0.104 0.000 11.736
Ca Pr Ho
2 4 5
Direct
0.047 0.000 0.138
0.953 0.000 0.862
0.216 0.500 0.668
0.392 0.500 0.225
0.608 0.500 0.775
0.784 0.500 0.332
0.140 0.000 0.414
0.339 0.000 0.934
0.500 0.000 0.500
0.661 0.000 0.066
0.860 0.000 0.586
```



Record 4
Calculated PXRD pattern of CaHo2Pt9 for a wavelength of 1.5418 Å, from the GGA-PBE geometry in Alexandria.

Largest 12 diffraction maxima, in order of rising 2θ, 2θ from 10° to 90°:
- 19.19 deg, d = 4.625 Å, I 39
- 38.48 deg, d = 2.340 Å, I 25
- 39.00 deg, d = 2.310 Å, I 100
- 40.77 deg, d = 2.213 Å, I 23
- 41.00 deg, d = 2.201 Å, I 25
- 42.10 deg, d = 2.146 Å, I 60
- 42.27 deg, d = 2.138 Å, I 28
- 45.49 deg, d = 1.994 Å, I 21
- 62.99 deg, d = 1.476 Å, I 29
- 69.29 deg, d = 1.356 Å, I 27
- 73.01 deg, d = 1.296 Å, I 18
- 83.78 deg, d = 1.155 Å, I 19

Structural model:
```
CaHo2Pt9
1.0
2.712 1.566 8.805
-2.712 1.566 8.805
0.000 -3.132 8.805
Ca Ho Pt
1 2 9
Direct
0.000 0.000 0.000
0.139 0.139 0.139
0.861 0.861 0.861
0.081 0.588 0.588
0.333 0.333 0.333
0.412 0.412 0.919
0.412 0.919 0.412
0.500 0.500 0.500
0.588 0.081 0.588
0.588 0.588 0.081
0.667 0.667 0.667
0.919 0.412 0.412
```